Calculated PXRD pattern of La2MgTlCo for copper Kα, from a DFT-relaxed cell (PBE, Alexandria).
Neutral-atom scattering factors, no anomalous dispersion.

Crystal structure
```
La2MgTlCo
1.0
5.2213 0.0000 0.0000
0.0000 5.2213 0.0000
0.0000 0.0000 5.0843
La Mg Tl Co
2 1 1 1
direct
0.0000 0.5000 0.0000
0.5000 0.0000 0.0000
0.0000 0.0000 0.5000
0.5000 0.5000 0.5000
0.0000 0.0000 0.0000
```

The 10 most intense peaks (10 to 80 degrees two-theta), sorted by position:
2θ (°), d [Å], I_rel
24.4, 3.643, 48.4
29.9, 2.987, 100.0
34.4, 2.611, 57.6
35.3, 2.542, 26.7
42.6, 2.122, 22.5
49.4, 1.846, 20.6
50.1, 1.821, 39.5
58.8, 1.570, 30.2
60.1, 1.540, 14.2
62.1, 1.494, 20.5